SrBe2Cr: theoretical X-ray diffraction stick pattern (CuKα), based on DFT lattice parameters and positions (GGA-PBE).
Peak positions follow from Bragg's law for the DFT cell and can differ from measured ones.

Crystal structure
```
SrBe2Cr
1.0
4.0628 0.0000 0.0000
-2.0314 3.5185 0.0000
0.0000 0.0000 16.3812
Sr Be Cr
3 6 3
Cartesian
0.0000 0.0000 0.0000
0.0000 2.3457 10.9208
2.0314 1.1728 5.4604
0.0000 0.0000 2.9771
0.0000 0.0000 13.4042
0.0000 2.3457 7.9438
0.0000 2.3457 13.8979
2.0314 1.1728 2.4833
2.0314 1.1728 8.4375
0.0000 0.0000 8.1906
0.0000 2.3457 2.7302
2.0314 1.1728 13.6510
```

Main lines, in order of rising 2θ (10° ≤ 2θ ≤ 90°):
- 27.59 deg, I 100.0, hkl 0 1 2
- 32.80 deg, I 27.5, hkl 0 0 6
- 33.58 deg, I 65.4, hkl 1 0 4
- 44.61 deg, I 34.3, hkl 1 1 0
- 51.65 deg, I 15.8, hkl 0 1 8
- 53.26 deg, I 15.2, hkl 2 0 2
- 56.46 deg, I 32.2, hkl 1 1 6
- 56.97 deg, I 13.4, hkl 0 2 4
- 71.93 deg, I 11.8, hkl 1 2 2
- 75.11 deg, I 11.4, hkl 2 1 4



BeCr2Tc: theoretical X-ray diffraction stick pattern (CuKα), based on DFT lattice parameters and positions (GGA-PBE).
Peak positions follow from Bragg's law for the DFT cell and can differ from measured ones.

Crystal structure
```
BeCr2Tc
1.0
2.9214 0.0000 0.0000
0.0000 4.0617 0.0000
0.0000 0.0000 7.9255
Be Cr Tc
2 4 2
Cartesian
0.0000 0.0000 0.0000
1.4607 2.0308 3.9628
0.0000 0.0000 3.8711
0.0000 2.0308 5.9872
1.4607 0.0000 2.0244
1.4607 2.0308 7.8339
0.0000 2.0308 1.8858
1.4607 0.0000 5.8486
```

Main lines, in order of rising 2θ (10° ≤ 2θ ≤ 90°):
- 22.44 deg, I 24.7, hkl 0 0 2
- 24.63 deg, I 22.7, hkl 0 1 1
- 32.67 deg, I 8.6, hkl 1 0 1
- 37.94 deg, I 12.8, hkl 1 1 0
- 44.54 deg, I 100.0, hkl 0 2 0
- 45.79 deg, I 17.8, hkl 0 0 4
- 63.71 deg, I 6.4, hkl 2 0 0
- 65.86 deg, I 11.1, hkl 0 2 4
- 82.15 deg, I 11.9, hkl 1 3 2
- 83.83 deg, I 10.5, hkl 1 1 6